(1)
Computed powder diffractogram
Compound: CaMg2S3O12
Radiation: a wavelength of 1.5418 Å
Structure: a cell relaxed with GGA-PBE
Neutral-atom scattering factors, no anomalous dispersion.

Structural model:
Cell: 8.4696 8.4696 7.4472 Å, 90.00 90.00 120.00°
Space group P6_3/m (No. 176)
Inequivalent atoms, fractional coordinates:
Ca  0.0000  0.0000  0.0000 (multiplicity 2)
Mg  0.3333  0.6667  0.0472 (multiplicity 4)
S  0.0335  0.6701  0.7500 (multiplicity 6)
O  0.0367  0.1994  0.2500 (multiplicity 6)
O  0.1276  0.5198  0.2500 (multiplicity 6)
O  0.1423  0.7008  0.5858 (multiplicity 12)

The 10 most intense peaks (10 to 90 degrees two-theta), most intense first:
- hkl 1 1 1, 24.2°, I 100.0
- hkl 1 1 2, 32.0°, I 35.3
- hkl 2 1 0, 32.3°, I 14.1
- hkl 2 2 2, 49.5°, I 13.5
- hkl 3 0 0, 36.8°, I 12.5
- hkl 4 1 2, 63.2°, I 8.5
- hkl 2 1 2, 40.6°, I 8.4
- hkl 1 4 0, 57.6°, I 8.2
- hkl 3 0 1, 38.8°, I 6.8
- hkl 3 1 3, 58.7°, I 6.8


(2)
Computed powder diffractogram
Compound: Ca3MgSi2O8
Radiation: a wavelength of 1.5418 Å
Structure: a cell relaxed with GGA-PBE
Neutral-atom scattering factors, no anomalous dispersion.

Structural model:
Cell: 9.4681 5.3513 13.3948 Å, 90.00 92.36 90.00°
Space group P2_1/c (No. 14)
Inequivalent atoms, fractional coordinates:
Ca  0.0757  0.2317  0.4193 (multiplicity 4)
Ca  0.2230  0.6766  0.2565 (multiplicity 4)
Ca  0.4231  0.2409  0.0977 (multiplicity 4)
Mg  0.2536  0.7426  0.5043 (multiplicity 4)
Si  0.0940  0.2270  0.1414 (multiplicity 4)
Si  0.3980  0.2282  0.3676 (multiplicity 4)
O  0.0585  0.7029  0.4235 (multiplicity 4)
O  0.0697  0.1858  0.7553 (multiplicity 4)
O  0.1760  0.0436  0.5830 (multiplicity 4)
O  0.1858  0.5294  0.6278 (multiplicity 4)
O  0.3037  0.0846  0.9375 (multiplicity 4)
O  0.3232  0.5510  0.8742 (multiplicity 4)
O  0.4029  0.1385  0.7586 (multiplicity 4)
O  0.4466  0.7107  0.0731 (multiplicity 4)

The 10 most intense peaks (10 to 90 degrees two-theta), most intense first:
- hkl 3 1 0, 33.0°, I 100.0
- hkl 1 1 4, 33.3°, I 46.3
- hkl 0 2 0, 33.5°, I 42.4
- hkl 2 2 -4, 47.1°, I 40.4
- hkl 2 0 -4, 32.1°, I 30.3
- hkl 4 0 4, 48.0°, I 25.8
- hkl 0 0 6, 40.4°, I 17.9
- hkl 2 0 -6, 44.2°, I 14.3
- hkl 4 2 4, 59.8°, I 13.4
- hkl 6 2 0, 69.2°, I 13.1


(3)
Computed powder diffractogram
Compound: CaMg7Si8O24
Radiation: a wavelength of 1.5418 Å
Structure: a cell relaxed with GGA-PBE
Neutral-atom scattering factors, no anomalous dispersion.

Structural model:
Cell: 5.2990 8.9834 9.5499 Å, 89.69 76.91 89.90°
Space group P1 (No. 1)
Inequivalent atoms, fractional coordinates:
Ca  0.0000  0.0000  0.0000 (multiplicity 1)
Mg  0.4428  0.4745  0.5125 (multiplicity 1)
Mg  0.4493  0.1143  0.5120 (multiplicity 1)
Mg  0.4908  0.8057  0.0116 (multiplicity 1)
Mg  0.4975  0.4544  0.0108 (multiplicity 1)
Mg  0.9429  0.9514  0.5130 (multiplicity 1)
Mg  0.9482  0.3117  0.5118 (multiplicity 1)
Mg  0.9936  0.6167  0.0101 (multiplicity 1)
Si  0.1607  0.3055  0.8086 (multiplicity 1)
Si  0.2127  0.6217  0.3050 (multiplicity 1)
Si  0.2383  0.1221  0.2246 (multiplicity 1)
Si  0.2833  0.7976  0.7110 (multiplicity 1)
Si  0.6555  0.1235  0.8043 (multiplicity 1)
Si  0.7115  0.8022  0.3042 (multiplicity 1)
Si  0.7328  0.3070  0.2204 (multiplicity 1)
Si  0.7811  0.6238  0.7108 (multiplicity 1)
O  0.0980  0.6661  0.6576 (multiplicity 1)
O  0.1651  0.1239  0.3997 (multiplicity 1)
O  0.1794  0.4618  0.3845 (multiplicity 1)
O  0.2151  0.7942  0.8865 (multiplicity 1)
O  0.2185  0.4500  0.8947 (multiplicity 1)
O  0.2202  0.9485  0.6314 (multiplicity 1)
O  0.2302  0.3080  0.6333 (multiplicity 1)
O  0.2773  0.6202  0.1296 (multiplicity 1)
O  0.2828  0.9619  0.1500 (multiplicity 1)
O  0.3445  0.1727  0.8604 (multiplicity 1)
O  0.4594  0.6908  0.3687 (multiplicity 1)
O  0.4885  0.2336  0.1583 (multiplicity 1)
O  0.6008  0.7576  0.6557 (multiplicity 1)
O  0.6625  0.3060  0.3956 (multiplicity 1)
O  0.6807  0.9622  0.3834 (multiplicity 1)
O  0.6879  0.9679  0.8805 (multiplicity 1)
O  0.7115  0.6178  0.8869 (multiplicity 1)
O  0.7201  0.4757  0.6289 (multiplicity 1)
O  0.7322  0.1243  0.6291 (multiplicity 1)
O  0.7634  0.4637  0.1366 (multiplicity 1)
O  0.7738  0.7969  0.1295 (multiplicity 1)
O  0.8490  0.2484  0.8633 (multiplicity 1)
O  0.9612  0.7330  0.3659 (multiplicity 1)
O  0.9919  0.1990  0.1650 (multiplicity 1)

The 10 most intense peaks (10 to 90 degrees two-theta), most intense first:
- hkl 1 2 -1, 29.4°, I 100.0
- hkl 2 0 2, 35.8°, I 42.6
- hkl 1 2 1, 26.6°, I 33.7
- hkl -1 3 4, 56.0°, I 33.2
- hkl -1 1 2, 30.3°, I 30.4
- hkl 0 1 3, 30.5°, I 28.7
- hkl 0 1 -3, 30.6°, I 24.9
- hkl 1 -3 0, 34.6°, I 24.5
- hkl 0 2 2, 27.5°, I 18.6
- hkl 0 2 -2, 27.7°, I 16.9